K2NiSnO4: simulated X-ray powder pattern (CuKα), based on the GGA+U geometry in Alexandria.
No peak broadening, texture or thermal motion is included.

Cell and atoms:
```
data_K2NiSnO4
_chemical_formula_sum 'K4 Ni2 Sn2 O8'
_space_group_name_H-M_alt 'C 1 2 1'
_space_group_IT_number 5
_cell_length_a 8.1405
_cell_length_b 7.6106
_cell_length_c 5.9673
_cell_angle_alpha 90.00
_cell_angle_beta 132.93
_cell_angle_gamma 90.00
loop_
_space_group_symop_operation_xyz
'x,y,z'
'-x,y,-z'
'x+1/2,y+1/2,z'
'-x+1/2,y+1/2,-z'
loop_
_atom_site_label
_atom_site_fract_x
_atom_site_fract_y
_atom_site_fract_z
K1 0.0000 0.0000 0.0000
K2 0.0000 0.2551 0.5000
Ni1 0.0000 0.7402 0.5000
Sn1 0.0000 0.4838 0.0000
O1 0.1472 0.6099 0.3894
O2 0.2396 0.3345 0.0872
```

Principal peaks in the range 5° ≤ 2θ ≤ 70°, sorted by position:
| 2θ (°) | d [Å] | I_rel |
| --- | --- | --- |
| 18.9 | 4.691 | 94 |
| 30.0 | 2.978 | 75 |
| 31.2 | 2.870 | 91 |
| 32.2 | 2.780 | 100 |
| 41.3 | 2.185 | 25 |
| 44.5 | 2.035 | 20 |
| 53.3 | 1.718 | 41 |
| 55.3 | 1.660 | 35 |
| 57.5 | 1.603 | 38 |
| 62.4 | 1.489 | 13 |